(1)
Computed powder XRD pattern
Compound: Dy3Tm3In
Radiation: Cu Kα X-rays
Structure: a cell relaxed with GGA-PBE
Intensities are scaled so that the largest is 100.

Most intense lines, 2θ from 10° to 80°, most intense first:
two_theta, intensity, index
33.65, 100, 2 1 1
32.54, 25, 0 2 0
29.35, 24, 3 0 -2
62.74, 21, 1 2 4
58.76, 20, 2 3 1
52.05, 19, 1 0 4
44.38, 16, 3 2 -2
63.42, 15, 6 1 -4
70.75, 4, 4 2 2
75.88, 3, 3 4 -2
68.15, 3, 0 4 0
60.88, 3, 4 0 2

Crystal structure
```
Dy3Tm3In
1.0
9.292 0.000 0.000
0.000 5.504 0.000
-4.643 0.000 8.057
Dy Tm In
6 6 2
Direct
0.064 0.250 0.244
0.180 0.250 0.935
0.245 0.750 0.180
0.755 0.250 0.820
0.820 0.750 0.065
0.936 0.750 0.756
0.105 0.750 0.482
0.377 0.750 0.895
0.482 0.250 0.377
0.518 0.750 0.623
0.623 0.250 0.105
0.895 0.250 0.518
0.333 0.250 0.666
0.667 0.750 0.334
```


(2)
Computed powder XRD pattern
Compound: DyTm5In3
Radiation: Cu Kα X-rays
Structure: a cell relaxed with GGA-PBE
Intensities are scaled so that the largest is 100.

Most intense lines, 2θ from 10° to 80°, most intense first:
two_theta, intensity, index
33.64, 100, 3 0 0
33.17, 97, 1 1 2
59.85, 36, 4 1 2
47.96, 35, 2 2 2
66.16, 28, 3 0 4
60.15, 19, 3 3 0
70.71, 12, 6 0 0
55.14, 8, 0 0 4
43.49, 7, 3 0 2
23.45, 5, 1 1 1
26.76, 4, 0 0 2
67.01, 2, 3 3 2

Crystal structure
```
DyTm5In3
1.0
9.230 0.000 0.000
-4.615 7.993 0.000
0.000 0.000 6.663
Dy Tm In
2 10 6
Direct
0.000 0.000 0.000
0.000 0.000 0.500
0.000 0.333 0.250
0.000 0.667 0.750
0.333 0.000 0.250
0.333 0.333 0.750
0.333 0.667 0.000
0.333 0.667 0.500
0.667 0.000 0.750
0.667 0.333 0.000
0.667 0.333 0.500
0.667 0.667 0.250
0.000 0.334 0.750
0.000 0.666 0.250
0.334 0.000 0.750
0.334 0.334 0.250
0.666 0.000 0.250
0.666 0.666 0.750
```